(1)
Starting from a crystal structure in Alexandria, relaxed with GGA-PBE, the powder XRD pattern of ErNbPb was calculated for Cu Kα, 1.54184 Å.

Structure:
Cell: 3.5922 3.5922 11.3568 Å, 90.00 90.00 90.00°
Space group P4/nmm (No. 129, origin choice 2)
Unique sites:
Er: 0.2500 0.2500 0.1057
Nb: 0.2500 0.2500 0.4413
Pb: 0.2500 0.2500 0.7097

The 10 most intense peaks (2θ = 5–70°), in order of rising 2θ:
index	d [Å]	Position (°2θ)	intensity
1 0 2	3.036	29.42	38.5
1 0 3	2.606	34.42	100.0
1 1 0	2.540	35.34	68.3
0 0 5	2.271	39.68	12.7
1 0 4	2.227	40.50	16.0
2 0 0	1.796	50.84	24.5
1 1 5	1.693	54.17	20.9
2 1 2	1.546	59.83	10.9
2 1 3	1.479	62.84	38.3
2 0 5	1.409	66.35	11.5

---

(2)
Starting from a crystal structure in Alexandria, relaxed with GGA-PBE, the powder XRD pattern of SrCa6Ir was calculated for Cu Kα, 1.54184 Å.

Structure:
Cell: 13.8464 6.9107 13.6058 Å, 90.00 101.81 90.00°
Space group C2/c (No. 15)
Unique sites:
Sr: 0.0000 0.0847 0.2500
Ca: 0.0762 0.4095 0.8967
Ca: 0.1493 0.0789 0.5367
Ca: 0.2139 0.4183 0.1746
Ir: 0.2500 0.2500 0.0000

The 10 most intense peaks (2θ = 5–70°), in order of rising 2θ:
index	d [Å]	Position (°2θ)	intensity
1 1 -1	5.797	15.28	73.4
1 1 1	5.400	16.41	100.0
2 0 -2	5.326	16.65	61.3
1 1 -3	3.771	23.59	44.6
3 1 2	3.073	29.06	71.6
2 2 -1	3.064	29.15	73.7
1 1 -4	3.050	29.29	49.1
5 1 1	2.398	37.51	56.4
3 1 -5	2.376	37.86	49.1
1 3 3	1.994	45.50	66.6

---

(3)
Starting from a crystal structure in Alexandria, relaxed with GGA-PBE, the powder XRD pattern of SmCu3O4 was calculated for Cu Kα, 1.54184 Å.

Structure:
Cell: 5.6975 5.6975 5.6975 Å, 90.00 90.00 90.00°
Space group Pm-3n (No. 223)
Unique sites:
Sm: 0.0000 0.0000 0.0000
Cu: 0.0000 0.2500 0.5000
O: 0.2500 0.2500 0.2500

The 10 most intense peaks (2θ = 5–70°), in order of rising 2θ:
index	d [Å]	Position (°2θ)	intensity
1 1 0	4.029	22.06	28.3
2 0 0	2.849	31.40	20.8
2 1 0	2.548	35.22	52.4
2 1 1	2.326	38.71	100.0
2 2 0	2.014	45.00	13.8
3 1 0	1.802	50.67	6.5
2 2 2	1.645	55.90	2.7
3 2 0	1.580	58.40	11.1
3 2 1	1.523	60.83	51.8
4 0 0	1.424	65.54	17.4

---

(4)
Starting from a crystal structure in Alexandria, relaxed with GGA-PBE, the powder XRD pattern of Y10In3Sb3 was calculated for Cu Kα, 1.54184 Å.

Structure:
Cell: 8.9732 8.9732 6.5636 Å, 90.00 90.00 120.00°
Space group P-62m (No. 189)
Unique sites:
Y: 0.0000 0.2373 0.0000
Y: 0.0000 0.7615 0.5000
Y: 0.3333 0.6667 0.2478
In: 0.0000 0.6042 0.0000
Sb: 0.0000 0.3945 0.5000

The 10 most intense peaks (2θ = 5–70°), in order of rising 2θ:
index	d [Å]	Position (°2θ)	intensity
0 0 2	3.282	27.17	24.3
2 1 0	2.937	30.43	24.3
2 1 1	2.681	33.42	100.0
1 1 2	2.649	33.84	70.5
3 0 0	2.590	34.63	37.8
2 0 2	2.507	35.82	11.4
3 1 1	2.048	44.23	17.0
2 2 2	1.852	49.20	14.0
2 1 3	1.755	52.13	27.5
5 0 2	1.405	66.57	19.8

---

(5)
Starting from a crystal structure in Alexandria, relaxed with GGA-PBE, the powder XRD pattern of Ba5Os3ClO15 was calculated for Cu Kα, 1.54184 Å.

Structure:
Cell: 11.1185 11.1185 8.0061 Å, 90.00 90.00 120.00°
Space group P6_3cm (No. 185)
Unique sites:
Ba: 0.0000 0.2671 0.0000
Ba: 0.3333 0.6667 0.2349
Os: 0.0000 0.3875 0.4452
Cl: 0.0000 0.0000 0.3183
O: 0.0000 0.2927 0.6192
O: 0.1301 0.5544 0.9781
O: 0.1313 0.3891 0.2985

The 10 most intense peaks (2θ = 5–70°), in order of rising 2θ:
index	d [Å]	Position (°2θ)	intensity
1 0 0	9.629	9.18	23.6
1 1 1	4.566	19.44	28.2
0 0 2	4.003	22.21	32.4
2 1 1	3.313	26.91	97.8
1 1 2	3.248	27.46	100.0
3 0 0	3.210	27.80	96.7
3 1 1	2.533	35.43	32.4
2 2 2	2.283	39.47	29.5
2 1 3	2.152	41.98	25.5
4 2 1	1.774	51.50	24.6

---

(6)
Starting from a crystal structure in Alexandria, relaxed with GGA-PBE, the powder XRD pattern of Nd2Dy5Er12 was calculated for Cu Kα, 1.54184 Å.

Structure:
Cell: 15.6821 9.1797 8.4696 Å, 90.00 91.29 90.00°
Space group C2/m (No. 12)
Unique sites:
Nd: 0.0000 0.1848 0.0000
Dy: 0.0000 0.5000 0.5000
Dy: 0.1981 0.0000 0.0088
Dy: 0.2324 0.5000 0.5765
Er: 0.0567 0.0000 0.3295
Er: 0.0927 0.5000 0.8826
Er: 0.1269 0.1914 0.6531
Er: 0.1560 0.3195 0.2456

The 10 most intense peaks (2θ = 5–70°), in order of rising 2θ:
index	d [Å]	Position (°2θ)	intensity
2 2 -2	2.909	30.74	69.1
4 0 2	2.844	31.45	47.8
1 3 1	2.830	31.62	77.6
5 1 -1	2.820	31.73	100.0
4 2 1	2.797	32.00	44.7
1 1 -3	2.669	33.57	64.9
3 3 1	2.513	35.73	44.1
1 3 -2	2.455	36.60	37.7
3 3 4	1.643	55.98	30.4
1 5 -3	1.534	60.33	43.5

---

(7)
Starting from a crystal structure in Alexandria, relaxed with GGA-PBE, the powder XRD pattern of Pr3Ge13Ru4 was calculated for Cu Kα, 1.54184 Å.

Structure:
Cell: 9.1688 9.1688 9.1688 Å, 90.00 90.00 90.00°
Space group Pm-3n (No. 223)
Unique sites:
Pr: 0.0000 0.2500 0.5000
Ge: 0.0000 0.0000 0.0000
Ge: 0.0000 0.2942 0.1470
Ru: 0.2500 0.2500 0.2500

The 10 most intense peaks (2θ = 5–70°), in order of rising 2θ:
index	d [Å]	Position (°2θ)	intensity
2 1 0	4.100	21.67	12.9
2 2 2	2.647	33.87	19.1
3 2 0	2.543	35.29	100.0
3 2 1	2.450	36.67	36.1
4 0 0	2.292	39.31	37.0
4 1 0	2.224	40.57	11.8
4 2 2	1.872	48.65	23.7
4 3 3	1.572	58.72	13.7
5 3 2	1.487	62.44	15.2
6 2 2	1.382	67.80	19.3